Ba6Nd3TiCu6Mo2O24: calculated powder diffractogram (Cu Kα (weighted mean of Kα1 and Kα2)), based on a cell relaxed with PBE+U.

Crystal structure
a b c (Å): 16.8500 5.6149 13.4134
angles (deg): 90.00 114.76 90.00
Space group C2/m (No. 12)
Inequivalent atoms, fractional coordinates:
Ba: 0.0654 0.0000 0.1963
Ba: 0.0994 0.5000 0.8040
Ba: 0.2301 0.5000 0.1961
Nd: 0.0000 0.5000 0.5000
Nd: 0.1668 0.0000 0.4998
Ti: 0.0000 0.5000 0.0000
Cu: 0.0447 0.0000 0.6335
Cu: 0.1209 0.5000 0.3626
Cu: 0.2109 0.5000 0.6336
Mo: 0.1642 0.0000 0.0000
O: 0.0411 0.2492 0.3737
O: 0.0522 0.5000 0.1567
O: 0.0850 0.2454 0.0000
O: 0.1170 0.0000 0.8422
O: 0.1251 0.2499 0.6251
O: 0.2082 0.2493 0.3739
O: 0.2222 0.0000 0.1578
O: 0.2500 0.2500 0.0000

Peak list (8 most intense, 2θ from 10° to 90°, by angle)
hkl 3 1 2, 31.51°, I 100
hkl 0 2 0, 31.87°, I 54
hkl 3 1 3, 37.21°, I 17
hkl 6 0 1, 39.00°, I 16
hkl 6 2 -2, 45.69°, I 35
hkl 9 1 0, 56.56°, I 19
hkl 3 3 2, 56.57°, I 19
hkl 0 4 0, 66.61°, I 10